Structure and calculated XRD peak list of DyBe2GaAu4 (a structure optimized by DFT (PBE); Cu Kα (λ = 1.5418 Å)).
Peak positions follow from Bragg's law for the DFT cell and can differ from measured ones.

Principal peaks in the range 10 to 90 degrees two-theta, most intense first:
2θ (°), I/Imax
35.33, 100.0
44.04, 87.8
27.91, 64.3
40.09, 51.6
25.76, 40.0
33.17, 26.6
57.67, 24.6
75.31, 22.7
66.36, 20.1
80.99, 15.4

```
data_DyBe2GaAu4
_chemical_formula_sum 'Dy3 Be6 Ga3 Au12'
_symmetry_space_group_name_H-M 'R -3 m'
_symmetry_Int_Tables_number 166
_symmetry_space_group_name_Hall '-R 3 2"'
_cell_length_a 4.1126
_cell_length_b 4.1126
_cell_length_c 29.0038
_cell_angle_alpha 90.00
_cell_angle_beta 90.00
_cell_angle_gamma 120.00
loop_
_atom_site_label
_atom_site_type_symbol
_atom_site_fract_x
_atom_site_fract_y
_atom_site_fract_z
Dy1 Dy 0.0000 0.0000 0.0000
Be1 Be 0.0000 0.0000 0.2511
Ga1 Ga 0.0000 0.0000 0.5000
Au1 Au 0.0000 0.0000 0.1214
Au2 Au 0.0000 0.0000 0.3968
```